1.
Calculated powder X-ray diffraction pattern
Compound: La8PrTh3
Radiation: copper Kα
Structure: a DFT-relaxed cell (PBE, Alexandria)

Cell and atoms:
a b c (Å): 6.4019 6.4019 12.0101
angles (deg): 90.00 90.00 120.00
Space group P-31m (No. 162)
Asymmetric unit:
La 0.0000 0.3329 0.2397 [6 per cell]
La 0.3333 0.6667 0.5000 [2 per cell]
Pr 0.0000 0.0000 0.5000 [1 per cell]
Th 0.0000 0.0000 0.0000 [1 per cell]
Th 0.3333 0.6667 0.0000 [2 per cell]

Most intense lines, 2θ = 10–80°, by intensity:
2θ/deg	I (rel.)	h k l
31.68	100	2 -1 2
28.87	32	2 -1 1
29.76	31	0 0 4
58.66	28	3 0 4
49.31	24	3 0 0
54.03	22	2 -1 6
35.92	19	1 1 3
59.80	17	2 2 2

***

2.
Calculated powder X-ray diffraction pattern
Compound: K2Tl3GaBr6
Radiation: copper Kα
Structure: a DFT-relaxed cell (PBE, Alexandria)

Cell and atoms:
a b c (Å): 20.5453 4.7058 9.4248
angles (deg): 90.00 103.43 90.00
Space group C2/m (No. 12)
Asymmetric unit:
K 0.1650 0.0000 0.3299 [4 per cell]
Tl 0.0000 0.5000 0.5000 [2 per cell]
Tl 0.1674 0.0000 0.8344 [4 per cell]
Ga 0.0000 0.5000 0.0000 [2 per cell]
Br 0.9998 0.0000 0.2375 [4 per cell]
Br 0.1603 0.5000 0.0825 [4 per cell]
Br 0.1677 0.5000 0.5790 [4 per cell]

Most intense lines, 2θ = 10–80°, by intensity:
2θ/deg	I (rel.)	h k l
26.77	100	1 1 -2
38.22	77	0 2 0
11.48	23	2 0 -1
47.31	21	6 2 0
22.15	20	4 0 1
69.13	20	5 3 2
62.40	18	1 3 -2
62.30	18	8 2 -4

***

3.
Calculated powder X-ray diffraction pattern
Compound: SmCd6Hg2
Radiation: copper Kα
Structure: a DFT-relaxed cell (PBE, Alexandria)

Cell and atoms:
a b c (Å): 15.5534 8.8945 3.2042
angles (deg): 90.00 101.71 90.00
Space group C2/m (No. 12)
Asymmetric unit:
Sm 0.0000 0.0000 0.0000 [2 per cell]
Cd 0.0000 0.3287 0.5000 [4 per cell]
Cd 0.1742 0.1702 0.6763 [8 per cell]
Hg 0.1506 0.5000 0.1588 [4 per cell]

Most intense lines, 2θ = 10–80°, by intensity:
2θ/deg	I (rel.)	h k l
35.04	100	3 3 0
31.93	30	1 1 1
35.36	29	6 0 0
38.13	16	5 1 -1
38.02	14	3 1 1
69.24	13	5 3 -2
69.14	12	1 3 2
50.31	10	2 4 -1

***

4.
Calculated powder X-ray diffraction pattern
Compound: Sr3VBr8
Radiation: copper Kα
Structure: a DFT-relaxed cell (PBE, Alexandria)

Cell and atoms:
a b c (Å): 8.6762 12.7954 8.4957
angles (deg): 90.00 90.00 90.00
Space group C222 (No. 21)
Asymmetric unit:
Sr 0.0000 0.0000 0.0000 [2 per cell]
Sr 0.2500 0.2500 0.7413 [4 per cell]
V 0.0000 0.0000 0.5000 [2 per cell]
Br 0.0000 0.2081 0.5000 [4 per cell]
Br 0.0000 0.2392 0.0000 [4 per cell]
Br 0.2233 0.0092 0.7207 [8 per cell]

Most intense lines, 2θ = 10–80°, by intensity:
2θ/deg	I (rel.)	h k l
29.43	100	2 0 2
40.99	64	2 4 2
12.33	57	1 1 0
27.89	51	0 4 0
16.16	37	1 1 1
42.56	24	0 0 4
41.64	18	4 0 0
24.80	16	2 2 0

***

5.
Calculated powder X-ray diffraction pattern
Compound: Ba4Tl3Pb
Radiation: copper Kα
Structure: a DFT-relaxed cell (PBE, Alexandria)

Cell and atoms:
a b c (Å): 18.3868 6.0795 6.0795
angles (deg): 90.00 109.19 90.00
Space group C2/m (No. 12)
Asymmetric unit:
Ba 0.1247 0.0000 0.1246 [4 per cell]
Ba 0.1248 0.5000 0.6246 [4 per cell]
Tl 0.0000 0.0000 0.5000 [2 per cell]
Tl 0.2485 0.0000 0.7484 [4 per cell]
Pb 0.0000 0.5000 0.0000 [2 per cell]

Most intense lines, 2θ = 10–80°, by intensity:
2θ/deg	I (rel.)	h k l
29.24	100	3 1 1
29.38	49	0 2 0
52.02	41	3 3 1
42.04	19	2 2 -2
51.73	15	8 2 0
41.61	10	8 0 0
68.41	9	11 1 1
69.02	9	1 3 3

***

6.
Calculated powder X-ray diffraction pattern
Compound: Na4Tm3GaTe8
Radiation: copper Kα
Structure: a DFT-relaxed cell (PBE, Alexandria)

Cell and atoms:
a b c (Å): 8.6776 8.6776 22.7329
angles (deg): 90.00 90.00 120.00
Space group R-3m (No. 166, hexagonal axes)
Asymmetric unit:
Na 0.0000 0.0000 0.0000 [3 per cell]
Na 0.0000 0.5000 0.0000 [9 per cell]
Tm 0.0000 0.5000 0.5000 [9 per cell]
Ga 0.0000 0.0000 0.5000 [3 per cell]
Te 0.0000 0.0000 0.2436 [6 per cell]
Te 0.0109 0.5054 0.2408 [18 per cell]

Most intense lines, 2θ = 10–80°, by intensity:
2θ/deg	I (rel.)	h k l
28.48	100	0 2 4
11.68	39	0 0 3
39.77	37	2 0 8
41.63	36	2 2 0
51.21	19	4 0 4
68.04	16	2 4 4
65.40	15	2 2 12
36.57	13	0 2 7